(1)
Structure and simulated PXRD pattern of Pr4NdGa (a cell relaxed with GGA-PBE; copper Kα).

Crystal structure
Unit cell a=3.6999 b=3.6999 c=14.3583 alpha=90.00 beta=90.00 gamma=90.00
Space group P4/mmm (No. 123)
Symmetry-distinct sites (fractional):
Pr 0.0000 0.0000 0.1302 (multiplicity 2)
Pr 0.5000 0.5000 0.3177 (multiplicity 2)
Nd 0.0000 0.0000 0.5000 (multiplicity 1)
Ga 0.5000 0.5000 0.0000 (multiplicity 1)

Largest 10 diffraction maxima, by angle, 10 to 80 degrees two-theta:
- 27.11°, intensity 15
- 30.54°, intensity 100
- 31.15°, intensity 11
- 34.28°, intensity 45
- 46.98°, intensity 14
- 49.26°, intensity 16
- 51.77°, intensity 12
- 57.05°, intensity 19
- 59.07°, intensity 30
- 78.65°, intensity 11


(2)
Structure and simulated PXRD pattern of Na2InSnF8 (a cell relaxed with GGA-PBE; copper Kα).

Crystal structure
Unit cell a=3.7825 b=5.5321 c=7.5650 alpha=90.00 beta=90.00 gamma=90.00
Space group Pmmm (No. 47)
Symmetry-distinct sites (fractional):
Na 0.0000 0.0000 0.2422 (multiplicity 2)
In 0.5000 0.5000 0.0000 (multiplicity 1)
Sn 0.5000 0.5000 0.5000 (multiplicity 1)
F 0.0000 0.2748 0.0000 (multiplicity 2)
F 0.0000 0.2746 0.5000 (multiplicity 2)
F 0.5000 0.2719 0.2445 (multiplicity 4)

Largest 10 diffraction maxima, by angle, 10 to 80 degrees two-theta:
- 16.02°, intensity 54
- 23.52°, intensity 35
- 28.59°, intensity 100
- 37.34°, intensity 17
- 40.40°, intensity 17
- 47.27°, intensity 55
- 48.11°, intensity 27
- 55.43°, intensity 15
- 56.92°, intensity 28
- 76.41°, intensity 12